Entry 1:
For Fe8N3, a GGA-PBE-relaxed structure gives the calculated PXRD pattern in this record (a wavelength of 1.5418 Å).
Neutral-atom scattering factors, no anomalous dispersion.

Atomic structure:
```
data_Fe8N3
_symmetry_space_group_name_H-M 'C 1 2 1'
_symmetry_Int_Tables_number 5
_cell_length_a 8.6247
_cell_length_b 16.1884
_cell_length_c 4.6801
_cell_angle_alpha 90.00
_cell_angle_beta 90.06
_cell_angle_gamma 90.00
loop_
_symmetry_equiv_pos_as_xyz
'x,y,z'
'-x,y,-z'
'x+1/2,y+1/2,z'
'-x+1/2,y+1/2,-z'
loop_
_atom_site_label
_atom_site_type_symbol
_atom_site_fract_x
_atom_site_fract_y
_atom_site_fract_z
Fe1 Fe 0.1213 0.0028 0.1705
Fe2 Fe 0.1235 0.3382 0.1624
Fe3 Fe 0.1239 0.0881 0.6598
Fe4 Fe 0.1240 0.1710 0.1760
Fe5 Fe 0.1239 0.2514 0.6648
Fe6 Fe 0.1239 0.4201 0.6727
Fe7 Fe 0.1242 0.9167 0.6597
Fe8 Fe 0.1249 0.5862 0.6655
Fe9 Fe 0.1260 0.5000 0.1642
Fe10 Fe 0.1261 0.6702 0.1658
Fe11 Fe 0.1263 0.8361 0.1724
Fe12 Fe 0.1265 0.7563 0.6615
N1 N 0.0000 0.0904 0.0000
N2 N 0.0000 0.3363 0.5000
N3 N 0.0000 0.5822 0.0000
N4 N 0.0000 0.6737 0.5000
N5 N 0.0000 0.9163 0.0000
N6 N 0.2492 0.0029 0.4926
N7 N 0.2496 0.2532 0.9998
```

Main lines, most intense first (10° ≤ 2θ ≤ 90°):
- 44.05°, 2.056 Å, rel. 100
- 41.90°, 2.156 Å, rel. 22
- 58.20°, 1.585 Å, rel. 18
- 38.50°, 2.338 Å, rel. 17
- 69.65°, 1.350 Å, rel. 17
- 78.03°, 1.225 Å, rel. 16
- 84.68°, 1.145 Å, rel. 10
- 86.22°, 1.128 Å, rel. 8
- 84.77°, 1.144 Å, rel. 5
- 86.11°, 1.129 Å, rel. 4

***

Entry 2:
For Fe2N, a GGA-PBE-relaxed structure gives the calculated PXRD pattern in this record (a wavelength of 1.5418 Å).
Neutral-atom scattering factors, no anomalous dispersion.

Atomic structure:
```
data_Fe2N
_symmetry_space_group_name_H-M 'P 21 21 2'
_symmetry_Int_Tables_number 18
_cell_length_a 4.3284
_cell_length_b 4.7422
_cell_length_c 8.2137
_cell_angle_alpha 90.00
_cell_angle_beta 90.00
_cell_angle_gamma 90.00
loop_
_symmetry_equiv_pos_as_xyz
'x,y,z'
'-x,-y,z'
'x+1/2,-y+1/2,-z'
'-x+1/2,y+1/2,-z'
loop_
_atom_site_label
_atom_site_type_symbol
_atom_site_fract_x
_atom_site_fract_y
_atom_site_fract_z
Fe1 Fe 0.2478 0.1661 0.2501
Fe2 Fe 0.2484 0.6698 0.4179
Fe3 Fe 0.2488 0.6665 0.0842
N1 N 0.0000 0.0000 0.0744
N2 N 0.0000 0.5000 0.2498
N3 N 0.0000 0.5000 0.5914
```

Main lines, most intense first (10° ≤ 2θ ≤ 90°):
- 43.52°, 2.080 Å, rel. 100
- 41.74°, 2.164 Å, rel. 20
- 57.67°, 1.598 Å, rel. 19
- 68.55°, 1.369 Å, rel. 18
- 77.43°, 1.233 Å, rel. 16
- 37.95°, 2.371 Å, rel. 15
- 83.57°, 1.157 Å, rel. 14
- 84.79°, 1.143 Å, rel. 12
- 29.99°, 2.979 Å, rel. 2
- 81.12°, 1.186 Å, rel. 2

***

Entry 3:
For Na3Np3FeN8, a GGA-PBE-relaxed structure gives the calculated PXRD pattern in this record (a wavelength of 1.5418 Å).
Neutral-atom scattering factors, no anomalous dispersion.

Atomic structure:
```
data_Na3Np3FeN8
_symmetry_space_group_name_H-M 'C 1 2/m 1'
_symmetry_Int_Tables_number 12
_cell_length_a 12.1141
_cell_length_b 6.4713
_cell_length_c 6.7382
_cell_angle_alpha 90.00
_cell_angle_beta 123.18
_cell_angle_gamma 90.00
loop_
_symmetry_equiv_pos_as_xyz
'x,y,z'
'-x,-y,-z'
'-x,y,-z'
'x,-y,z'
'x+1/2,y+1/2,z'
'-x+1/2,-y+1/2,-z'
'-x+1/2,y+1/2,-z'
'x+1/2,-y+1/2,z'
loop_
_atom_site_label
_atom_site_type_symbol
_atom_site_fract_x
_atom_site_fract_y
_atom_site_fract_z
Na1 Na 0.0000 0.0000 0.0000
Na2 Na 0.2500 0.2500 0.0000
Np1 Np 0.0000 0.5000 0.5000
Np2 Np 0.2500 0.2500 0.5000
Fe1 Fe 0.0000 0.0000 0.5000
N1 N 0.0282 0.2386 0.3410
N2 N 0.2309 0.5000 0.6920
N3 N 0.2376 0.5000 0.2960
```

Main lines, most intense first (10° ≤ 2θ ≤ 90°):
- 15.71°, 5.639 Å, rel. 100
- 38.58°, 2.334 Å, rel. 34
- 32.84°, 2.727 Å, rel. 33
- 31.96°, 2.800 Å, rel. 31
- 35.41°, 2.535 Å, rel. 22
- 31.73°, 2.820 Å, rel. 20
- 29.70°, 3.008 Å, rel. 19
- 32.06°, 2.792 Å, rel. 18
- 40.77°, 2.213 Å, rel. 14
- 53.58°, 1.711 Å, rel. 13

***

Entry 4:
For Na2PaFeN4, a GGA-PBE-relaxed structure gives the calculated PXRD pattern in this record (a wavelength of 1.5418 Å).
Neutral-atom scattering factors, no anomalous dispersion.

Atomic structure:
```
data_Na2PaFeN4
_symmetry_space_group_name_H-M 'I -4 2 m'
_symmetry_Int_Tables_number 121
_symmetry_space_group_name_Hall 'I -4 2'
_cell_length_a 6.2898
_cell_length_b 6.2898
_cell_length_c 5.9774
_cell_angle_alpha 90.00
_cell_angle_beta 90.00
_cell_angle_gamma 90.00
loop_
_atom_site_label
_atom_site_type_symbol
_atom_site_fract_x
_atom_site_fract_y
_atom_site_fract_z
Na1 Na 0.0000 0.5000 0.2500
Pa1 Pa 0.0000 0.0000 0.0000
Fe1 Fe 0.0000 0.0000 0.5000
N1 N 0.1422 0.1422 0.7110
```

Main lines, most intense first (10° ≤ 2θ ≤ 90°):
- 19.96°, 4.448 Å, rel. 100
- 36.21°, 2.481 Å, rel. 67
- 28.38°, 3.145 Å, rel. 66
- 20.50°, 4.333 Å, rel. 65
- 55.50°, 1.656 Å, rel. 49
- 35.26°, 2.545 Å, rel. 43
- 40.57°, 2.224 Å, rel. 28
- 41.69°, 2.166 Å, rel. 27
- 45.61°, 1.989 Å, rel. 16
- 51.20°, 1.784 Å, rel. 14